(1)
Calculated powder diffraction line list
Compound: W4Cl3
Radiation: Cu Kα, 1.54184 Å
Structure: a crystal structure in Alexandria, relaxed with GGA-PBE

Largest 10 diffraction maxima, by angle, 15° ≤ 2θ ≤ 90°:
Position (°2θ)	I/Imax
17.8	29
19.7	17
34.5	100
39.1	59
41.5	82
55.0	21
61.7	19
66.5	41
72.7	17
87.3	20

Crystal structure
```
W4Cl3
1.0
5.205 0.000 0.000
-2.602 4.508 0.000
0.000 0.000 4.971
W Cl
4 3
Cartesian
0.000 0.000 1.144 W
0.000 0.000 3.827 W
0.000 3.005 0.000 W
2.602 1.503 0.000 W
-1.301 2.254 2.486 Cl
2.602 0.000 2.486 Cl
1.301 2.254 2.486 Cl
```


(2)
Calculated powder diffraction line list
Compound: ZrWCl2
Radiation: Cu Kα, 1.54184 Å
Structure: a crystal structure in Alexandria, relaxed with GGA-PBE

Largest 10 diffraction maxima, by angle, 15° ≤ 2θ ≤ 90°:
Position (°2θ)	I/Imax
23.2	59
36.3	93
36.4	100
36.8	92
37.3	41
37.9	39
40.1	47
40.4	40
45.5	38
46.0	64

Crystal structure
```
ZrWCl2
1.0
3.986 0.000 0.000
0.000 3.227 0.000
-1.866 0.000 7.480
Zr W Cl
1 1 2
Cartesian
0.000 0.000 0.000 Zr
1.913 1.613 1.212 W
-0.177 1.613 6.140 Cl
1.916 0.000 3.083 Cl
```


(3)
Calculated powder diffraction line list
Compound: Y7Cl6
Radiation: Cu Kα, 1.54184 Å
Structure: a crystal structure in Alexandria, relaxed with GGA-PBE

Largest 10 diffraction maxima, by angle, 15° ≤ 2θ ≤ 90°:
Position (°2θ)	I/Imax
16.0	61
29.7	44
31.4	43
32.0	47
32.3	29
34.3	60
36.4	100
42.4	34
56.8	34
65.4	26

Crystal structure
```
Y7Cl6
1.0
3.240 1.871 12.038
-3.240 1.871 12.038
0.000 -3.742 12.038
Y Cl
7 6
Cartesian
0.000 0.000 0.000 Y
0.000 -1.881 9.029 Y
-1.629 0.940 9.029 Y
-1.629 -0.940 27.086 Y
1.629 0.940 9.029 Y
1.629 -0.940 27.086 Y
0.000 1.881 27.086 Y
0.000 0.000 5.072 Cl
0.000 0.000 11.091 Cl
0.000 0.000 15.239 Cl
0.000 0.000 20.877 Cl
0.000 0.000 25.025 Cl
0.000 0.000 31.043 Cl
```


(4)
Calculated powder diffraction line list
Compound: ZnCl2
Radiation: Cu Kα, 1.54184 Å
Structure: a crystal structure in Alexandria, relaxed with GGA-PBE

Largest 10 diffraction maxima, by angle, 15° ≤ 2θ ≤ 90°:
Position (°2θ)	I/Imax
17.6	100
28.0	100
30.7	14
35.8	21
44.1	19
44.2	25
47.8	40
53.2	27
58.2	11
84.0	14

Crystal structure
```
ZnCl2
1.0
5.791 0.000 0.000
0.000 5.791 0.000
0.000 0.000 10.111
Zn Cl
4 8
Cartesian
0.000 0.000 0.000 Zn
0.000 2.895 2.528 Zn
2.895 0.000 7.583 Zn
2.895 2.895 5.056 Zn
1.265 4.343 1.264 Cl
1.448 1.265 8.847 Cl
1.448 1.630 3.792 Cl
1.630 4.343 6.319 Cl
4.161 1.448 6.319 Cl
4.343 4.161 3.792 Cl
4.343 4.526 8.847 Cl
4.526 1.448 1.264 Cl
```


(5)
Calculated powder diffraction line list
Compound: ZnCl
Radiation: Cu Kα, 1.54184 Å
Structure: a crystal structure in Alexandria, relaxed with GGA-PBE

Largest 10 diffraction maxima, by angle, 15° ≤ 2θ ≤ 90°:
Position (°2θ)	I/Imax
18.9	33
20.7	100
22.1	11
25.5	14
30.9	10
39.3	27
42.2	13
45.0	12
48.2	11
52.8	11

Crystal structure
```
ZnCl
1.0
6.354 0.000 0.000
0.000 6.983 0.000
0.000 0.000 10.402
Zn Cl
8 8
Cartesian
0.733 0.094 0.221 Zn
1.558 5.724 1.957 Zn
1.619 1.259 7.158 Zn
2.444 6.890 5.421 Zn
3.910 3.398 10.181 Zn
4.735 4.751 8.445 Zn
4.796 2.232 3.244 Zn
5.621 3.585 4.980 Zn
0.350 3.302 7.095 Cl
0.718 5.502 4.218 Cl
2.459 1.482 9.419 Cl
2.828 3.682 1.894 Cl
3.527 0.190 3.307 Cl
3.895 4.973 6.183 Cl
5.636 2.010 0.982 Cl
6.005 6.794 8.508 Cl
```


(6)
Calculated powder diffraction line list
Compound: Zn3Cl2
Radiation: Cu Kα, 1.54184 Å
Structure: a crystal structure in Alexandria, relaxed with GGA-PBE

Largest 10 diffraction maxima, by angle, 15° ≤ 2θ ≤ 90°:
Position (°2θ)	I/Imax
19.3	100
22.4	28
25.6	82
29.1	63
35.1	35
35.5	37
42.8	28
45.4	36
47.7	40
51.1	32

Crystal structure
```
Zn3Cl2
1.0
0.000 9.203 1.821
7.894 0.000 1.821
7.894 9.203 0.000
Zn Cl
6 4
Cartesian
0.000 0.000 0.000 Zn
6.319 4.940 0.937 Zn
13.416 9.541 1.848 Zn
3.947 4.602 0.911 Zn
1.575 4.263 0.937 Zn
2.372 8.865 1.848 Zn
11.590 7.726 1.836 Cl
7.643 6.079 2.746 Cl
4.199 10.680 1.836 Cl
8.146 12.327 2.746 Cl
```


(7)
Calculated powder diffraction line list
Compound: ZnCl2
Radiation: Cu Kα, 1.54184 Å
Structure: a crystal structure in Alexandria, relaxed with GGA-PBE

Largest 10 diffraction maxima, by angle, 15° ≤ 2θ ≤ 90°:
Position (°2θ)	I/Imax
15.1	60
16.0	88
17.5	25
19.6	65
22.3	100
22.5	34
22.7	23
25.9	72
31.9	47
46.9	23

Crystal structure
```
ZnCl2
1.0
7.048 0.000 0.000
0.000 12.356 0.000
-4.270 0.000 12.519
Zn Cl
12 24
Cartesian
-1.138 0.202 3.620 Zn
-3.272 5.976 9.880 Zn
-1.925 2.275 11.448 Zn
0.210 3.904 5.189 Zn
0.350 1.702 8.559 Zn
2.485 4.477 2.299 Zn
0.294 7.880 10.220 Zn
2.429 10.655 3.961 Zn
2.569 8.453 7.331 Zn
4.704 10.082 1.071 Zn
6.051 6.380 2.639 Zn
3.917 12.154 8.899 Zn
-0.836 2.500 3.700 Cl
-2.970 3.678 9.960 Cl
-3.007 0.243 11.127 Cl
-0.872 5.936 4.867 Cl
-1.091 0.064 7.859 Cl
1.044 6.115 1.600 Cl
-1.752 7.210 11.058 Cl
0.382 11.325 4.798 Cl
2.100 2.478 1.192 Cl
-0.035 3.701 7.452 Cl
0.355 8.285 7.971 Cl
2.489 10.250 1.711 Cl
0.290 2.107 10.808 Cl
2.424 4.072 4.548 Cl
2.814 8.656 5.068 Cl
0.679 9.879 11.327 Cl
2.396 1.032 7.721 Cl
4.531 5.146 1.461 Cl
1.735 6.242 10.920 Cl
3.870 12.293 4.660 Cl
3.651 6.421 7.652 Cl
5.786 12.114 1.392 Cl
5.749 8.678 2.559 Cl
3.615 9.857 8.819 Cl
```


(8)
Calculated powder diffraction line list
Compound: ZnCl
Radiation: Cu Kα, 1.54184 Å
Structure: a crystal structure in Alexandria, relaxed with GGA-PBE

Largest 10 diffraction maxima, by angle, 15° ≤ 2θ ≤ 90°:
Position (°2θ)	I/Imax
17.5	100
23.7	39
26.0	48
26.7	68
29.3	82
37.9	30
39.3	33
39.6	36
48.7	69
50.0	35

Crystal structure
```
ZnCl
1.0
9.686 0.000 0.000
0.000 6.102 0.000
-2.497 0.000 6.862
Zn Cl
8 8
Cartesian
1.044 0.362 0.421 Zn
-0.205 5.740 3.853 Zn
1.302 2.689 6.441 Zn
2.550 3.413 3.010 Zn
4.638 2.689 3.853 Zn
5.887 3.413 0.421 Zn
7.393 0.362 3.010 Zn
6.145 5.740 6.441 Zn
1.646 2.826 0.788 Cl
0.397 3.277 4.219 Cl
0.700 0.226 6.075 Cl
1.948 5.877 2.643 Cl
5.240 0.226 4.219 Cl
6.489 5.877 0.788 Cl
6.791 2.826 2.643 Cl
5.543 3.277 6.075 Cl
```


(9)
Calculated powder diffraction line list
Compound: ZrZn2Cl
Radiation: Cu Kα, 1.54184 Å
Structure: a crystal structure in Alexandria, relaxed with GGA-PBE

Largest 10 diffraction maxima, by angle, 15° ≤ 2θ ≤ 90°:
Position (°2θ)	I/Imax
19.8	14
35.2	100
41.1	61
42.0	87
42.4	20
51.0	12
59.6	26
67.5	20
71.1	23
75.5	28

Crystal structure
```
ZrZn2Cl
1.0
3.106 0.000 0.000
0.000 3.106 0.000
0.000 0.000 8.954
Zr Zn Cl
1 2 1
Cartesian
0.000 0.000 0.000 Zr
0.000 0.000 5.614 Zn
1.553 1.553 6.998 Zn
1.553 1.553 1.684 Cl
```


(10)
Calculated powder diffraction line list
Compound: ZrCl3
Radiation: Cu Kα, 1.54184 Å
Structure: a crystal structure in Alexandria, relaxed with GGA-PBE

Largest 10 diffraction maxima, by angle, 15° ≤ 2θ ≤ 90°:
Position (°2θ)	I/Imax
16.8	90
20.7	58
21.9	52
30.1	100
34.5	96
35.4	41
35.9	74
42.8	30
43.9	56
45.1	41

Crystal structure
```
ZrCl3
1.0
6.318 0.000 0.000
0.000 12.323 0.000
0.000 0.000 5.854
Zr Cl
4 12
Cartesian
0.802 3.081 0.488 Zr
2.357 9.242 3.415 Zr
3.961 3.081 2.439 Zr
5.516 9.242 5.366 Zr
0.236 9.242 1.884 Cl
1.060 7.548 4.841 Cl
1.060 10.936 4.841 Cl
2.099 1.387 1.914 Cl
2.099 4.775 1.914 Cl
2.923 3.081 4.811 Cl
3.395 9.242 1.043 Cl
4.219 7.548 3.940 Cl
4.219 10.936 3.940 Cl
5.258 1.387 1.013 Cl
5.258 4.775 1.013 Cl
6.082 3.081 3.970 Cl
```


(11)
Calculated powder diffraction line list
Compound: Zr5Cl
Radiation: Cu Kα, 1.54184 Å
Structure: a crystal structure in Alexandria, relaxed with GGA-PBE

Largest 10 diffraction maxima, by angle, 15° ≤ 2θ ≤ 90°:
Position (°2θ)	I/Imax
30.4	36
32.3	64
33.8	57
34.9	52
36.0	100
38.3	65
42.0	29
57.1	18
57.4	26
66.6	18

Crystal structure
```
Zr5Cl
1.0
10.659 0.000 0.000
0.000 3.226 0.000
-1.999 0.000 7.702
Zr Cl
10 2
Cartesian
0.000 0.000 0.000 Zr
-0.177 0.000 3.166 Zr
0.138 1.613 5.832 Zr
2.265 1.613 1.902 Zr
2.716 0.000 4.604 Zr
5.330 1.613 0.000 Zr
5.152 1.613 3.166 Zr
5.467 0.000 5.832 Zr
7.594 0.000 1.902 Zr
8.046 1.613 4.604 Zr
1.206 0.000 7.682 Cl
6.536 1.613 7.682 Cl
```


(12)
Calculated powder diffraction line list
Compound: ZrCl3
Radiation: Cu Kα, 1.54184 Å
Structure: a crystal structure in Alexandria, relaxed with GGA-PBE

Largest 10 diffraction maxima, by angle, 15° ≤ 2θ ≤ 90°:
Position (°2θ)	I/Imax
15.7	97
16.2	77
23.1	100
23.7	73
32.9	77
34.2	69
36.3	75
37.4	96
43.3	86
54.4	79

Crystal structure
```
ZrCl3
1.0
11.690 -6.742 0.000
11.690 6.742 0.000
-1.997 0.000 7.006
Zr Cl
6 18
Cartesian
0.005 0.000 7.005 Zr
4.842 1.638 0.000 Zr
4.842 -1.638 0.000 Zr
16.540 1.638 7.005 Zr
16.540 -1.638 7.005 Zr
21.378 0.000 0.001 Zr
2.870 1.774 1.614 Cl
0.000 0.000 1.641 Cl
5.847 3.370 1.641 Cl
8.816 4.970 1.618 Cl
3.950 0.000 5.393 Cl
12.567 4.970 5.388 Cl
2.870 -1.774 1.614 Cl
5.937 0.000 1.623 Cl
15.536 3.370 5.364 Cl
5.847 -3.370 1.641 Cl
15.446 0.000 5.383 Cl
18.512 1.774 5.392 Cl
8.816 -4.970 1.618 Cl
17.433 0.000 1.613 Cl
12.567 -4.970 5.388 Cl
15.536 -3.370 5.364 Cl
21.383 0.000 5.365 Cl
18.512 -1.774 5.392 Cl
```


(13)
Calculated powder diffraction line list
Compound: ZrCl3
Radiation: Cu Kα, 1.54184 Å
Structure: a crystal structure in Alexandria, relaxed with GGA-PBE

Largest 10 diffraction maxima, by angle, 15° ≤ 2θ ≤ 90°:
Position (°2θ)	I/Imax
18.5	100
29.2	57
35.3	35
36.8	59
37.2	41
37.6	20
38.4	17
45.5	13
46.4	29
51.9	40

Crystal structure
```
ZrCl3
1.0
5.089 0.000 0.000
0.000 14.053 0.000
0.000 0.000 3.394
Zr Cl
2 6
Cartesian
0.000 0.000 0.000 Zr
2.544 7.026 0.000 Zr
0.000 1.916 1.697 Cl
0.000 7.026 0.000 Cl
0.000 12.136 1.697 Cl
2.544 0.000 0.000 Cl
2.544 5.110 1.697 Cl
2.544 8.943 1.697 Cl
```